Simulated powder diffraction line list
Compound: K4Fe2O5
Radiation: Cu Kα, 1.54184 Å
Structure: a crystal structure in Alexandria, relaxed with GGA+U
Peak positions follow from Bragg's law for the DFT cell and can differ from measured ones.

Most intense lines, 10° ≤ 2θ ≤ 90°, low angle first:
(hkl)  Position (°2θ)  I (rel.)
1 0 0  13.97  26
1 1 2  29.48  40
2 0 -2  29.67  61
0 1 3  31.02  69
1 2 -1  33.22  100
2 1 1  35.05  83
1 1 -4  38.94  52
3 1 0  45.47  21
1 3 2  52.47  25
3 2 -3  54.94  27

Lattice parameters (Å, degrees): 6.5268 6.0323 10.1373 90.00 103.78 90.00
Atoms (fractional coordinates):
1 K 0.0949 0.0897 0.3383
2 K 0.0949 0.4103 0.8383
3 K 0.2656 0.6215 0.5160
4 K 0.2656 0.8785 0.0160
5 K 0.7344 0.1215 0.9840
6 K 0.7344 0.3785 0.4840
7 K 0.9051 0.5897 0.1617
8 K 0.9051 0.9103 0.6617
9 Fe 0.4077 0.1148 0.6557
10 Fe 0.4077 0.3852 0.1557
11 Fe 0.5923 0.6148 0.8443
12 Fe 0.5923 0.8852 0.3443
13 O 0.1395 0.2354 0.5996
14 O 0.1395 0.2646 0.0996
15 O 0.3962 0.6457 0.2700
16 O 0.3962 0.8543 0.7700
17 O 0.5000 0.0000 0.5000
18 O 0.5000 0.5000 0.0000
19 O 0.6038 0.1457 0.2300
20 O 0.6038 0.3543 0.7300
21 O 0.8605 0.7354 0.9004
22 O 0.8605 0.7646 0.4004